1.
Structure and calculated X-ray diffraction stick pattern of Dy2CoIr3 (a cell relaxed with GGA-PBE; Cu Kα, 1.54184 Å).
No peak broadening, texture or thermal motion is included.

The 10 most intense peaks (2θ from 10° to 90°), in order of falling intensity:
(2 0 1), 2θ = 40.31°, I 100.0
(1 1 2), 2θ = 39.95°, I 62.6
(1 0 3), 2θ = 37.64°, I 60.6
(2 0 5), 2θ = 69.24°, I 31.0
(2 1 3), 2θ = 62.54°, I 27.3
(2 2 0), 2θ = 70.21°, I 24.4
(2 0 0), 2θ = 38.78°, I 22.4
(0 0 2), 2θ = 21.25°, I 18.8
(3 0 2), 2θ = 64.16°, I 15.4
(0 0 4), 2θ = 43.29°, I 14.0

Atomic structure:
abc: 5.3621 5.3621 8.3606
angles: 90.00 90.00 120.00
Space group P6_3/mmc (No. 194)
One atom of each set of equivalent atoms:
Dy1 0.3333 0.6667 0.0650
Co1 0.0000 0.0000 0.0000
Ir1 0.1672 0.3345 0.7500

2.
Structure and calculated X-ray diffraction stick pattern of Dy2CoSi3Ir4 (a cell relaxed with GGA-PBE; Cu Kα, 1.54184 Å).
No peak broadening, texture or thermal motion is included.

The 10 most intense peaks (2θ from 10° to 90°), in order of falling intensity:
(1 1 2), 2θ = 35.88°, I 100.0
(2 0 0), 2θ = 44.25°, I 61.2
(1 0 3), 2θ = 34.79°, I 54.7
(1 1 1), 2θ = 32.20°, I 50.1
(1 0 2), 2θ = 28.22°, I 26.1
(2 1 3), 2θ = 57.49°, I 26.0
(1 0 5), 2θ = 50.99°, I 25.5
(0 0 3), 2θ = 26.86°, I 23.7
(3 1 2), 2θ = 75.95°, I 22.7
(1 1 4), 2θ = 48.21°, I 21.2

Atomic structure:
abc: 4.094 4.094 9.958
angles: 90.00 90.00 90.00
Space group P-4m2 (No. 115)
One atom of each set of equivalent atoms:
Dy1 0.000 0.500 0.248
Co1 0.500 0.500 0.000
Si1 0.000 0.000 0.000
Si2 0.000 0.500 0.631
Ir1 0.000 0.000 0.500
Ir2 0.000 0.500 0.868
Ir3 0.500 0.500 0.500

3.
Structure and calculated X-ray diffraction stick pattern of DyTmCoIr (a cell relaxed with GGA-PBE; Cu Kα, 1.54184 Å).
No peak broadening, texture or thermal motion is included.

The 10 most intense peaks (2θ from 10° to 90°), in order of falling intensity:
(2 2 0), 2θ = 37.77°, I 100.0
(4 2 2), 2θ = 68.20°, I 35.3
(4 0 0), 2θ = 54.48°, I 17.4
(1 1 1), 2θ = 22.86°, I 11.2
(4 4 0), 2θ = 80.68°, I 11.1
(3 1 1), 2θ = 44.61°, I 6.2
(3 3 1), 2θ = 59.84°, I 2.7
(2 0 0), 2θ = 26.46°, I 2.2
(5 3 1), 2θ = 85.22°, I 2.2
(5 1 1), 2θ = 72.97°, I 2.1

Atomic structure:
abc: 6.737 6.737 6.737
angles: 90.00 90.00 90.00
Space group F-43m (No. 216)
One atom of each set of equivalent atoms:
Dy1 0.000 0.000 0.000
Tm1 0.000 0.000 0.500
Co1 0.250 0.250 0.750
Ir1 0.250 0.250 0.250

4.
Structure and calculated X-ray diffraction stick pattern of La4DyCo2 (a cell relaxed with GGA-PBE; Cu Kα, 1.54184 Å).
No peak broadening, texture or thermal motion is included.

The 10 most intense peaks (2θ from 10° to 90°), in order of falling intensity:
(1 0 -3), 2θ = 33.79°, I 100.0
(0 2 1), 2θ = 29.24°, I 91.8
(1 0 2), 2θ = 30.84°, I 71.0
(1 2 -1), 2θ = 30.05°, I 67.4
(2 2 0), 2θ = 36.72°, I 65.0
(2 0 1), 2θ = 31.42°, I 56.4
(2 1 -1), 2θ = 26.94°, I 46.7
(1 2 -2), 2θ = 35.22°, I 43.4
(1 2 3), 2θ = 51.08°, I 40.6
(3 2 0), 2θ = 46.72°, I 35.6

Atomic structure:
abc: 7.677 6.703 7.954
angles: 90.00 111.14 90.00
Space group P2_1/m (No. 11)
One atom of each set of equivalent atoms:
La1 0.112 0.250 0.461
La2 0.198 0.750 0.247
La3 0.269 0.009 0.917
Dy1 0.481 0.250 0.345
Co1 0.105 0.250 0.151
Co2 0.479 0.250 0.714

5.
Structure and calculated X-ray diffraction stick pattern of La7DyCo3 (a cell relaxed with GGA-PBE; Cu Kα, 1.54184 Å).
No peak broadening, texture or thermal motion is included.

The 10 most intense peaks (2θ from 10° to 90°), in order of falling intensity:
(2 0 1), 2θ = 29.71°, I 100.0
(2 0 2), 2θ = 38.45°, I 29.3
(2 2 0), 2θ = 46.29°, I 26.0
(0 2 3), 2θ = 50.15°, I 23.8
(0 0 2), 2θ = 27.61°, I 17.8
(0 4 1), 2θ = 55.97°, I 16.7
(2 2 2), 2θ = 54.75°, I 16.1
(4 2 1), 2θ = 75.48°, I 13.6
(2 2 4), 2θ = 76.38°, I 10.9
(2 0 0), 2θ = 26.23°, I 9.8

Atomic structure:
abc: 7.8459 7.8459 6.4611
angles: 90.00 90.00 120.00
Space group P3m1 (No. 156)
One atom of each set of equivalent atoms:
La1 0.0000 0.0000 0.0000
La2 0.0035 0.5017 0.0095
La3 0.3340 0.1670 0.5232
Dy1 0.3333 0.6667 0.5330
Co1 0.1676 0.3352 0.7671

6.
Structure and calculated X-ray diffraction stick pattern of LiDy12Co6 (a cell relaxed with GGA-PBE; Cu Kα, 1.54184 Å).
No peak broadening, texture or thermal motion is included.

The 10 most intense peaks (2θ from 10° to 90°), in order of falling intensity:
(3 1 2), 2θ = 34.64°, I 100.0
(3 0 1), 2θ = 29.15°, I 49.6
(2 2 2), 2θ = 32.00°, I 49.4
(5 3 0), 2θ = 55.29°, I 39.9
(5 2 3), 2θ = 58.75°, I 38.4
(5 0 1), 2θ = 47.87°, I 23.6
(7 0 5), 2θ = 86.39°, I 20.1
(5 3 4), 2θ = 68.48°, I 18.7
(1 1 0), 2θ = 12.92°, I 18.4
(4 0 0), 2θ = 37.12°, I 17.7

Atomic structure:
abc: 9.689 9.689 9.689
angles: 90.00 90.00 90.00
Space group Im-3 (No. 204)
One atom of each set of equivalent atoms:
Li1 0.000 0.000 0.000
Dy1 0.000 0.306 0.196
Co1 0.000 0.113 0.500

7.
Structure and calculated X-ray diffraction stick pattern of Dy4Mg3Co2 (a cell relaxed with GGA-PBE; Cu Kα, 1.54184 Å).
No peak broadening, texture or thermal motion is included.

The 10 most intense peaks (2θ from 10° to 90°), in order of falling intensity:
(2 1 -1), 2θ = 34.25°, I 100.0
(0 1 2), 2θ = 33.69°, I 85.4
(1 0 -1), 2θ = 13.84°, I 62.9
(2 1 1), 2θ = 39.81°, I 61.9
(2 0 -1), 2θ = 23.84°, I 52.7
(0 1 0), 2θ = 24.23°, I 52.0
(0 0 2), 2θ = 23.05°, I 47.5
(1 1 -3), 2θ = 41.19°, I 47.2
(2 0 1), 2θ = 31.09°, I 46.9
(3 0 -2), 2θ = 37.29°, I 43.8

Atomic structure:
abc: 7.529 3.674 8.191
angles: 90.00 109.62 90.00
Space group P2/m (No. 10)
One atom of each set of equivalent atoms:
Dy1 0.099 0.000 0.227
Dy2 0.398 0.000 0.676
Mg1 0.000 0.500 0.500
Mg2 0.293 0.500 0.001
Co1 0.351 0.500 0.392

8.
Structure and calculated X-ray diffraction stick pattern of DyMg3Co8 (a cell relaxed with GGA-PBE; Cu Kα, 1.54184 Å).
No peak broadening, texture or thermal motion is included.

The 10 most intense peaks (2θ from 10° to 90°), in order of falling intensity:
(2 0 2), 2θ = 43.25°, I 100.0
(0 2 4), 2θ = 45.30°, I 42.4
(1 0 10), 2θ = 43.12°, I 34.3
(2 1 10), 2θ = 70.53°, I 29.1
(0 0 3), 2θ = 11.00°, I 23.4
(1 0 1), 2θ = 21.26°, I 20.7
(0 1 2), 2θ = 22.20°, I 16.8
(1 1 0), 2θ = 36.68°, I 16.7
(0 1 8), 2θ = 36.55°, I 16.6
(2 2 0), 2θ = 77.99°, I 15.7

Atomic structure:
abc: 4.9007 4.9007 24.1307
angles: 90.00 90.00 120.00
Space group R3m (No. 160, hexagonal axes)
One atom of each set of equivalent atoms:
Dy1 0.0000 0.0000 0.0000
Mg1 0.0000 0.0000 0.1274
Mg2 0.0000 0.0000 0.4988
Mg3 0.0000 0.0000 0.6196
Co1 0.0000 0.0000 0.3116
Co2 0.0000 0.0000 0.8126
Co3 0.0017 0.5009 0.0640
Co4 0.1685 0.3371 0.8938